For Dy2TiSe5, DFT lattice parameters and positions (GGA-PBE) gives the calculated powder diffractogram in this record (Cu Kα (λ = 1.5418 Å)).
Intensities are scaled so that the largest is 100.

Structure:
```
Dy2TiSe5
1.0
2.734 -6.760 0.000
2.734 6.760 0.000
0.000 0.000 12.940
Dy Ti Se
4 2 10
Direct
0.155 0.845 0.564
0.155 0.845 0.936
0.845 0.155 0.064
0.845 0.155 0.436
0.180 0.820 0.250
0.820 0.180 0.750
0.047 0.953 0.123
0.047 0.953 0.377
0.276 0.724 0.750
0.311 0.689 0.091
0.311 0.689 0.409
0.689 0.311 0.591
0.689 0.311 0.909
0.724 0.276 0.250
0.953 0.047 0.623
0.953 0.047 0.877
```

Most intense lines, 15° ≤ 2θ ≤ 90°, sorted by position:
2θ/deg  Rel. int.
17.5  100
24.5  84
32.8  86
33.7  81
39.1  24
41.3  42
42.8  50
47.7  60

---

For LiAc12Co4, DFT lattice parameters and positions (GGA-PBE) gives the calculated powder diffractogram in this record (Cu Kα (λ = 1.5418 Å)).
Intensities are scaled so that the largest is 100.

Structure:
```
LiAc12Co4
1.0
-5.437 5.530 5.583
5.437 -5.530 5.583
5.437 5.530 -5.583
Li Ac Co
1 12 4
Direct
0.000 0.000 0.000
0.013 0.799 0.214
0.186 0.482 0.296
0.186 0.890 0.704
0.311 0.299 0.610
0.311 0.701 0.012
0.415 0.201 0.214
0.585 0.799 0.786
0.689 0.299 0.988
0.689 0.701 0.390
0.814 0.110 0.296
0.814 0.518 0.704
0.987 0.201 0.786
0.000 0.000 0.500
0.000 0.500 0.000
0.500 0.000 0.000
0.500 0.500 0.500
```

Most intense lines, 15° ≤ 2θ ≤ 90°, sorted by position:
2θ/deg  Rel. int.
25.3  71
25.5  64
25.8  57
28.0  100
30.1  46
30.4  50
47.8  59
51.4  42

---

For RbV5S8, DFT lattice parameters and positions (GGA-PBE) gives the calculated powder diffractogram in this record (Cu Kα (λ = 1.5418 Å)).
Intensities are scaled so that the largest is 100.

Structure:
```
RbV5S8
1.0
8.844 -1.643 0.000
8.844 1.643 0.000
-2.142 0.000 8.270
Rb V S
1 5 8
Direct
0.000 0.000 0.000
0.149 0.149 0.497
0.211 0.211 0.859
0.500 0.500 0.500
0.789 0.789 0.141
0.851 0.851 0.503
0.074 0.074 0.678
0.259 0.259 0.340
0.338 0.338 0.998
0.413 0.413 0.678
0.587 0.587 0.322
0.662 0.662 0.002
0.741 0.741 0.660
0.926 0.926 0.322
```

Most intense lines, 15° ≤ 2θ ≤ 90°, sorted by position:
2θ/deg  Rel. int.
20.8  43
21.5  35
33.4  41
34.6  83
36.0  33
42.7  100
54.4  47
56.0  26